For Pm3Tl2Co, a DFT-relaxed cell (PBE, Alexandria) gives the calculated XRD peak list in this record (copper Kα).
Lines closer than 0.1° are merged.

Crystal structure
Unit cell a=5.2589 b=16.9152 c=3.7271 alpha=90.00 beta=90.00 gamma=90.00
Space group Cmmm (No. 65)
Symmetry-distinct sites (fractional):
Pm 0.0000 0.0000 0.0000 (multiplicity 2)
Pm 0.0000 0.3737 0.5000 (multiplicity 4)
Tl 0.0000 0.1945 0.0000 (multiplicity 4)
Co 0.0000 0.5000 0.0000 (multiplicity 2)

Top 10 peaks for 10 to 90 degrees two-theta, in order of rising 2θ:
2theta	Rel. int.	h k l
29.9	912	1 1 1
31.4	1000	1 5 0
32.0	688	0 4 1
33.5	831	1 3 1
34.1	719	2 0 0
47.5	458	2 4 1
48.9	262	0 0 2
59.3	338	1 5 2
59.4	232	3 5 0
60.9	271	2 0 2